Diffraction record for AgAuO3. The powder diffractogram is computed, not measured: it uses DFT lattice parameters and positions (GGA-PBE) and Cu Kα.

Main lines, sorted by position (5° ≤ 2θ ≤ 70°):
2theta  intensity
14.9  13
28.7  7
30.0  100
34.8  37
45.7  2
50.1  44
52.5  3
59.5  43
62.4  10
64.6  2

Structure:
a = 7.2897 Å, b = 7.2897 Å, c = 7.2897 Å
α = 60.00°, β = 60.00°, γ = 60.00°
Atoms (fractional coordinates):
Ag (0.0000, 0.0000, 0.0000)
Ag (0.0000, 0.0000, 0.5000)
Ag (0.0000, 0.5000, 0.0000)
Ag (0.5000, 0.0000, 0.0000)
Au (0.0000, 0.5000, 0.5000)
Au (0.5000, 0.0000, 0.5000)
Au (0.5000, 0.5000, 0.0000)
Au (0.5000, 0.5000, 0.5000)
O (0.1587, 0.1587, 0.5913)
O (0.1587, 0.5913, 0.1587)
O (0.1587, 0.5913, 0.5913)
O (0.4087, 0.4087, 0.8413)
O (0.4087, 0.8413, 0.4087)
O (0.4087, 0.8413, 0.8413)
O (0.5913, 0.1587, 0.1587)
O (0.5913, 0.1587, 0.5913)
O (0.5913, 0.5913, 0.1587)
O (0.8413, 0.4087, 0.4087)
O (0.8413, 0.4087, 0.8413)
O (0.8413, 0.8413, 0.4087)

---

Diffraction record for KZnFe. The powder diffractogram is computed, not measured: it uses DFT lattice parameters and positions (GGA-PBE) and Cu Kα.

Main lines, sorted by position (5° ≤ 2θ ≤ 70°):
2theta  intensity
14.7  100
29.6  61
31.2  44
39.1  72
39.3  22
42.0  30
44.4  24
49.8  52
54.3  20
58.0  16

Structure:
a = 6.5291 Å, b = 6.5291 Å, c = 6.5291 Å
α = 155.34°, β = 143.59°, γ = 44.47°
Atoms (fractional coordinates):
K (0.0000, 0.0000, 0.0000)
Zn (0.7246, 0.7246, 0.0000)
Fe (0.2708, 0.2708, 0.0000)

---

Diffraction record for InHg14Bi. The powder diffractogram is computed, not measured: it uses DFT lattice parameters and positions (GGA-PBE) and Cu Kα.

Main lines, sorted by position (5° ≤ 2θ ≤ 70°):
2theta  intensity
28.7  57
29.8  74
32.0  100
32.3  39
32.9  49
34.0  79
36.2  48
37.6  49
43.5  25
46.1  26

Structure:
a = 6.2578 Å, b = 11.1776 Å, c = 6.5178 Å
α = 90.00°, β = 95.36°, γ = 90.00°
Atoms (fractional coordinates):
In (0.0000, 0.0000, 0.0000)
Hg (0.0066, 0.0000, 0.5007)
Hg (0.0153, 0.2535, 0.7524)
Hg (0.0153, 0.7465, 0.7524)
Hg (0.0161, 0.2534, 0.2541)
Hg (0.0161, 0.7466, 0.2541)
Hg (0.2012, 0.5000, 0.0382)
Hg (0.2089, 0.5000, 0.5380)
Hg (0.5015, 0.0000, 0.9887)
Hg (0.5134, 0.2718, 0.9990)
Hg (0.5134, 0.7282, 0.9990)
Hg (0.5195, 0.2747, 0.5008)
Hg (0.5195, 0.7253, 0.5008)
Hg (0.7248, 0.5000, 0.2632)
Hg (0.7278, 0.5000, 0.7646)
Bi (0.5072, 0.0000, 0.4903)